For PrDyZn4, a crystal structure in Alexandria, relaxed with GGA-PBE gives the simulated XRD peak list in this record (Cu Kα).

Cell and atoms:
Cell: 4.5182 7.2603 7.8206 Å, 90.00 90.00 90.00°
Element x y z (fractional)
Pr 0.0000 0.0000 0.0000
Pr 0.5000 0.5000 0.5000
Dy 0.0000 0.5000 0.0000
Dy 0.5000 0.0000 0.5000
Zn 0.0000 0.2426 0.3337
Zn 0.0000 0.2426 0.6663
Zn 0.0000 0.7574 0.3337
Zn 0.0000 0.7574 0.6663
Zn 0.5000 0.2574 0.1663
Zn 0.5000 0.2574 0.8337
Zn 0.5000 0.7426 0.1663
Zn 0.5000 0.7426 0.8337

Principal peaks in the range 2θ = 15–90°, by angle:
d (Å), intensity
3.912, 17
2.661, 100
2.258, 55
1.722, 27
1.415, 23
1.369, 25

For Na3PmCl6, a crystal structure in Alexandria, relaxed with GGA-PBE gives the simulated XRD peak list in this record (Cu Kα).

Cell and atoms:
Cell: 7.5887 7.5887 7.5887 Å, 55.70 55.70 55.70°
Element x y z (fractional)
Na 0.0000 0.0000 0.0000
Na 0.2009 0.2009 0.2009
Na 0.7058 0.7058 0.7058
Pm 0.5062 0.5062 0.5062
Cl 0.1202 0.4038 0.7816
Cl 0.3010 0.8959 0.5996
Cl 0.4038 0.7816 0.1202
Cl 0.5996 0.3010 0.8959
Cl 0.7816 0.1202 0.4038
Cl 0.8959 0.5996 0.3010

Principal peaks in the range 2θ = 15–90°, by angle:
d (Å), intensity
5.848, 81
5.170, 89
3.778, 47
3.100, 100
2.373, 85
2.046, 57